The following is a theoretical powder XRD pattern of CaW4. It was derived from DFT lattice parameters and positions (GGA-PBE), using Cu Kα.
Peak positions follow from Bragg's law for the DFT cell and can differ from measured ones.

Peak list (7 most intense, 10° ≤ 2θ ≤ 80°, in order of falling intensity)
2θ (°)	d (Å)	I_rel
30.44	2.937	100
43.59	2.077	96
71.89	1.313	36
54.09	1.695	27
63.34	1.468	16
21.40	4.153	2
37.51	2.398	1

Structural model:
```
CaW4
1.0
-2.9366 2.9366 2.9366
2.9366 -2.9366 2.9366
2.9366 2.9366 -2.9366
Ca W
1 4
Direct
0.0000 0.0000 0.0000
0.0000 0.0000 0.5000
0.0000 0.5000 0.0000
0.5000 0.0000 0.0000
0.5000 0.5000 0.5000
```



The following is a theoretical powder XRD pattern of Pr2Dy12Tm. It was derived from DFT lattice parameters and positions (GGA-PBE), using Cu Kα.
Peak positions follow from Bragg's law for the DFT cell and can differ from measured ones.

Peak list (10 most intense, 10° ≤ 2θ ≤ 80°, in order of falling intensity)
2θ (°)	d (Å)	I_rel
31.63	2.829	100
30.69	2.913	97
33.01	2.714	83
37.08	2.425	71
29.80	2.998	62
33.21	2.698	60
29.10	3.069	32
61.91	1.499	30
55.75	1.649	28
51.73	1.767	27

Structural model:
```
Pr2Dy12Tm
1.0
3.5345 -5.6580 0.0000
3.5345 5.6580 0.0000
0.0000 0.0000 24.7433
Pr Dy Tm
4 24 2
Direct
0.2500 0.7500 0.2358
0.2500 0.7500 0.7699
0.7500 0.2500 0.2301
0.7500 0.2500 0.7642
0.0003 0.9997 0.4237
0.9997 0.0003 0.5763
0.0006 0.5006 0.6242
0.0120 0.5120 0.0840
0.0143 0.9857 0.9388
0.2500 0.2500 0.1727
0.2500 0.2500 0.3025
0.2500 0.2500 0.6975
0.2500 0.2500 0.8272
0.4857 0.5143 0.9388
0.4880 0.9880 0.0840
0.4994 0.9994 0.6242
0.4997 0.5003 0.4237
0.5003 0.4997 0.5763
0.5006 0.0006 0.3758
0.5120 0.0120 0.9160
0.5143 0.4857 0.0612
0.7500 0.7500 0.1727
0.7500 0.7500 0.3025
0.7500 0.7500 0.6975
0.7500 0.7500 0.8272
0.9857 0.0143 0.0612
0.9880 0.4880 0.9160
0.9994 0.4994 0.3758
0.2500 0.7500 0.5000
0.7500 0.2500 0.5000
```



The following is a theoretical powder XRD pattern of K5SiS4. It was derived from DFT lattice parameters and positions (GGA-PBE), using Cu Kα.
Peak positions follow from Bragg's law for the DFT cell and can differ from measured ones.

Peak list (10 most intense, 10° ≤ 2θ ≤ 80°, in order of falling intensity)
2θ (°)	d (Å)	I_rel
29.52	3.026	100
31.15	2.871	72
22.77	3.905	68
36.12	2.487	58
24.48	3.636	37
35.47	2.531	31
39.03	2.308	29
24.30	3.663	27
15.01	5.903	27
49.69	1.835	25

Structural model:
```
K5SiS4
1.0
9.2302 0.0000 0.0000
0.0000 9.9689 0.0000
0.0000 0.0000 7.3250
K Si S
10 2 8
Direct
0.0114 0.0630 0.2325
0.0114 0.4370 0.2325
0.2500 0.2500 0.6601
0.4886 0.0630 0.2325
0.4886 0.4370 0.2325
0.5114 0.5630 0.7675
0.5114 0.9370 0.7675
0.7500 0.7500 0.3399
0.9886 0.5630 0.7675
0.9886 0.9370 0.7675
0.2500 0.7500 0.3146
0.7500 0.2500 0.6854
0.0575 0.7500 0.1436
0.2500 0.5720 0.4855
0.2500 0.9280 0.4855
0.4425 0.7500 0.1436
0.5575 0.2500 0.8564
0.7500 0.0720 0.5145
0.7500 0.4280 0.5145
0.9425 0.2500 0.8564
```



The following is a theoretical powder XRD pattern of Zr3ScZn. It was derived from DFT lattice parameters and positions (GGA-PBE), using Cu Kα.
Peak positions follow from Bragg's law for the DFT cell and can differ from measured ones.

Peak list (10 most intense, 10° ≤ 2θ ≤ 80°, in order of falling intensity)
2θ (°)	d (Å)	I_rel
34.54	2.597	100
43.15	2.096	26
37.70	2.386	21
33.94	2.642	20
41.52	2.175	19
39.24	2.296	19
61.11	1.516	18
22.48	3.955	16
71.30	1.323	16
42.93	2.107	16

Structural model:
```
Zr3ScZn
1.0
3.3079 -6.8914 0.0000
3.3079 6.8914 0.0000
0.0000 0.0000 5.2832
Zr Sc Zn
6 2 2
Direct
0.0735 0.9265 0.5000
0.1164 0.3515 0.5094
0.3515 0.1164 0.0094
0.6485 0.8836 0.5094
0.8836 0.6485 0.0094
0.9265 0.0735 0.0000
0.4246 0.5754 0.0279
0.5754 0.4246 0.5279
0.2534 0.7466 0.7403
0.7466 0.2534 0.2403
```